For Cr2O5, a crystal structure in Alexandria, relaxed with PBE+U gives the simulated powder diffraction line list in this record (Cu Kα).
Peak positions follow from Bragg's law for the DFT cell and can differ from measured ones.

Principal peaks in the range 2θ from 15° to 90°, low angle first:
two_theta	I/Imax
16.39	833
16.50	534
25.01	404
26.37	1000
28.53	260
28.72	689
32.27	284
33.36	283
35.56	400
49.06	277

Structural model:
a = 6.528 Å, b = 6.528 Å, c = 10.745 Å
α = 90.00°, β = 90.00°, γ = 146.95°
Atoms (fractional coordinates):
1 Cr 0.203 0.797 0.595
2 Cr 0.203 0.797 0.905
3 Cr 0.797 0.203 0.095
4 Cr 0.797 0.203 0.405
5 O 0.077 0.923 0.596
6 O 0.077 0.923 0.904
7 O 0.259 0.741 0.750
8 O 0.261 0.739 0.069
9 O 0.261 0.739 0.431
10 O 0.739 0.261 0.569
11 O 0.739 0.261 0.931
12 O 0.741 0.259 0.250
13 O 0.923 0.077 0.096
14 O 0.923 0.077 0.404